For Er3Tm5Sb8, the GGA-PBE geometry in Alexandria gives the calculated powder diffraction line list in this record (CuKα).
Intensities are scaled so that the largest is 100.

The 9 most intense peaks (2θ = 10–80°), by intensity:
(0 2 4), 29.08°, 3.071 Å, intensity 100; (2 2 0), 41.59°, 2.171 Å, intensity 76; (2 4 4), 68.30°, 1.373 Å, intensity 35; (4 0 4), 51.55°, 1.773 Å, intensity 27; (6 0 0), 75.89°, 1.254 Å, intensity 26; (0 4 8), 60.28°, 1.535 Å, intensity 13; (2 0 2), 25.11°, 3.546 Å, intensity 5; (2 2 6), 49.20°, 1.852 Å, intensity 3; (4 2 2), 66.34°, 1.409 Å, intensity 1

Cell and atoms:
```
data_Er3Tm5Sb8
_chemical_formula_sum 'Er9 Tm15 Sb24'
_cell_length_a 8.6857
_cell_length_b 8.6857
_cell_length_c 21.2765
_cell_angle_alpha 90.00
_cell_angle_beta 90.00
_cell_angle_gamma 120.00
_symmetry_space_group_name_H-M 'R -3 m'
_symmetry_Int_Tables_number 166
_symmetry_space_group_name_Hall '-R 3 2"'
loop_
_atom_site_label
_atom_site_type_symbol
_atom_site_fract_x
_atom_site_fract_y
_atom_site_fract_z
Er1 Er 0.0000 0.5000 0.0000
Tm1 Tm 0.0000 0.0000 0.0000
Tm2 Tm 0.0000 0.0000 0.5000
Tm3 Tm 0.0000 0.5000 0.5000
Sb1 Sb 0.0000 0.0000 0.2496
Sb2 Sb 0.9995 0.4998 0.2498
```